No. 1
Theoretical powder diffraction line list of Th3Sn13Os4 for a wavelength of 1.5418 Å, from a DFT-relaxed cell (PBE, the Materials Project).
Kinematic intensities with the Lorentz-polarization factor, no thermal factor.

Cell and atoms:
```
data_Th3Sn13Os4
_chemical_formula_sum 'Th6 Sn26 Os8'
_symmetry_space_group_name_H-M 'P m -3 n'
_symmetry_Int_Tables_number 223
_symmetry_space_group_name_Hall '-P 4n 2 3'
_cell_length_a 9.823
_cell_length_b 9.823
_cell_length_c 9.823
_cell_angle_alpha 90.00
_cell_angle_beta 90.00
_cell_angle_gamma 90.00
loop_
_atom_site_label
_atom_site_fract_x
_atom_site_fract_y
_atom_site_fract_z
Th1 0.000 0.250 0.500
Sn1 0.000 0.000 0.000
Sn2 0.000 0.305 0.153
Os1 0.250 0.250 0.250
```

Principal peaks in the range 10° ≤ 2θ ≤ 90°, low angle first:
2θ 18.06, I 14, hkl 2 0 0
2θ 31.55, I 20, hkl 2 2 2
2θ 32.88, I 100, hkl 3 2 0
2θ 34.15, I 38, hkl 3 2 1
2θ 36.59, I 37, hkl 4 0 0
2θ 41.10, I 16, hkl 4 2 0
2θ 45.22, I 28, hkl 4 2 2
2θ 54.47, I 13, hkl 4 3 3
2θ 57.87, I 17, hkl 5 3 2
2θ 62.74, I 25, hkl 6 2 2



No. 2
Theoretical powder diffraction line list of P4Se3Br2 for a wavelength of 1.5418 Å, from a DFT-relaxed cell (PBE, the Materials Project).
Kinematic intensities with the Lorentz-polarization factor, no thermal factor.

Cell and atoms:
```
data_P4Se3Br2
_chemical_formula_sum 'P32 Se24 Br16'
_symmetry_space_group_name_H-M 'C 1 2/c 1'
_symmetry_Int_Tables_number 15
_cell_length_a 13.784
_cell_length_b 16.251
_cell_length_c 13.343
_cell_angle_alpha 90.00
_cell_angle_beta 118.03
_cell_angle_gamma 90.00
loop_
_symmetry_equiv_pos_as_xyz
'x,y,z'
'-x,-y,-z'
'-x,y,-z+1/2'
'x,-y,z+1/2'
'x+1/2,y+1/2,z'
'-x+1/2,-y+1/2,-z'
'-x+1/2,y+1/2,-z+1/2'
'x+1/2,-y+1/2,z+1/2'
loop_
_atom_site_label
_atom_site_fract_x
_atom_site_fract_y
_atom_site_fract_z
P1 0.019 0.113 0.133
P2 0.083 0.274 0.922
P3 0.119 0.026 0.414
P4 0.139 0.360 0.831
Se1 0.000 0.205 0.250
Se2 0.000 0.452 0.750
Se3 0.103 0.265 0.691
Se4 0.142 0.019 0.254
Br1 0.099 0.359 0.065
Br2 0.241 0.390 0.470
```

Principal peaks in the range 10° ≤ 2θ ≤ 90°, low angle first:
2θ 13.24, I 66, hkl 0 2 1
2θ 16.88, I 100, hkl 2 2 -1
2θ 23.61, I 49, hkl 3 1 -3
2θ 25.58, I 65, hkl 3 3 -1
2θ 25.88, I 44, hkl 3 3 -2
2θ 26.14, I 62, hkl 1 3 -3
2θ 26.66, I 79, hkl 0 4 2
2θ 26.96, I 45, hkl 3 1 1
2θ 27.47, I 61, hkl 3 3 0
2θ 28.39, I 69, hkl 3 1 -4



No. 3
Theoretical powder diffraction line list of ScSnPt for a wavelength of 1.5418 Å, from a DFT-relaxed cell (PBE, the Materials Project).
Kinematic intensities with the Lorentz-polarization factor, no thermal factor.

Cell and atoms:
```
data_ScSnPt
_chemical_formula_sum 'Sc4 Sn4 Pt4'
_symmetry_space_group_name_H-M 'F -4 3 m'
_symmetry_Int_Tables_number 216
_symmetry_space_group_name_Hall 'F -4 2 3'
_cell_length_a 6.494
_cell_length_b 6.494
_cell_length_c 6.494
_cell_angle_alpha 90.00
_cell_angle_beta 90.00
_cell_angle_gamma 90.00
loop_
_atom_site_label
_atom_site_fract_x
_atom_site_fract_y
_atom_site_fract_z
Sc1 0.000 0.000 0.000
Sn1 0.250 0.250 0.750
Pt1 0.250 0.250 0.250
```

Principal peaks in the range 10° ≤ 2θ ≤ 90°, low angle first:
2θ 23.73, I 13, hkl 1 1 1
2θ 27.47, I 71, hkl 2 0 0
2θ 39.24, I 100, hkl 2 2 0
2θ 46.37, I 7, hkl 3 1 1
2θ 48.56, I 21, hkl 2 2 2
2θ 56.70, I 17, hkl 4 0 0
2θ 62.32, I 3, hkl 3 3 1
2θ 64.13, I 28, hkl 4 2 0
2θ 71.12, I 35, hkl 4 2 2
2θ 84.37, I 11, hkl 4 4 0



No. 4
Theoretical powder diffraction line list of Rb2NaInF6 for a wavelength of 1.5418 Å, from a DFT-relaxed cell (PBE, the Materials Project).
Kinematic intensities with the Lorentz-polarization factor, no thermal factor.

Cell and atoms:
```
data_Rb2NaInF6
_chemical_formula_sum 'Rb8 Na4 In4 F24'
_symmetry_space_group_name_H-M 'F m -3 m'
_symmetry_Int_Tables_number 225
_symmetry_space_group_name_Hall '-F 4 2 3'
_cell_length_a 8.861
_cell_length_b 8.861
_cell_length_c 8.861
_cell_angle_alpha 90.00
_cell_angle_beta 90.00
_cell_angle_gamma 90.00
loop_
_atom_site_label
_atom_site_fract_x
_atom_site_fract_y
_atom_site_fract_z
Rb1 0.250 0.250 0.250
Na1 0.000 0.000 0.000
In1 0.000 0.000 0.500
F1 0.000 0.000 0.262
```

Principal peaks in the range 10° ≤ 2θ ≤ 90°, low angle first:
2θ 17.33, I 30, hkl 1 1 1
2θ 28.49, I 100, hkl 2 2 0
2θ 33.54, I 14, hkl 3 1 1
2θ 35.08, I 11, hkl 2 2 2
2θ 40.73, I 45, hkl 4 0 0
2θ 50.46, I 40, hkl 4 2 2
2θ 58.97, I 28, hkl 4 4 0
2θ 66.77, I 18, hkl 6 2 0
2θ 74.14, I 9, hkl 4 4 4
2θ 81.25, I 21, hkl 6 4 2



No. 5
Theoretical powder diffraction line list of K2PrAgF6 for a wavelength of 1.5418 Å, from a DFT-relaxed cell (PBE, the Materials Project).
Kinematic intensities with the Lorentz-polarization factor, no thermal factor.

Cell and atoms:
```
data_K2PrAgF6
_chemical_formula_sum 'K8 Pr4 Ag4 F24'
_symmetry_space_group_name_H-M 'F m -3 m'
_symmetry_Int_Tables_number 225
_symmetry_space_group_name_Hall '-F 4 2 3'
_cell_length_a 9.450
_cell_length_b 9.450
_cell_length_c 9.450
_cell_angle_alpha 90.00
_cell_angle_beta 90.00
_cell_angle_gamma 90.00
loop_
_atom_site_label
_atom_site_fract_x
_atom_site_fract_y
_atom_site_fract_z
K1 0.250 0.250 0.250
Pr1 0.000 0.000 0.000
Ag1 0.000 0.000 0.500
F1 0.000 0.000 0.242
```

Principal peaks in the range 10° ≤ 2θ ≤ 90°, low angle first:
2θ 18.78, I 59, hkl 2 0 0
2θ 26.68, I 100, hkl 2 2 0
2θ 38.09, I 44, hkl 4 0 0
2θ 42.80, I 29, hkl 4 2 0
2θ 47.12, I 41, hkl 4 2 2
2θ 54.97, I 28, hkl 4 4 0
2θ 58.62, I 14, hkl 6 0 0
2θ 62.13, I 18, hkl 6 2 0
2θ 75.25, I 20, hkl 6 4 2
2θ 87.62, I 11, hkl 6 6 0



No. 6
Theoretical powder diffraction line list of B4MoRu2 for a wavelength of 1.5418 Å, from a DFT-relaxed cell (PBE, the Materials Project).
Kinematic intensities with the Lorentz-polarization factor, no thermal factor.

Cell and atoms:
```
data_B4MoRu2
_chemical_formula_sum 'B4 Mo1 Ru2'
_symmetry_space_group_name_H-M 'P 1'
_symmetry_Int_Tables_number 1
_cell_length_a 4.102
_cell_length_b 4.379
_cell_length_c 5.015
_cell_angle_alpha 115.28
_cell_angle_beta 92.29
_cell_angle_gamma 104.00
loop_
_symmetry_equiv_pos_as_xyz
'x,y,z'
loop_
_atom_site_label
_atom_site_fract_x
_atom_site_fract_y
_atom_site_fract_z
B1 0.000 0.000 0.000
B2 0.002 0.063 0.688
B3 0.150 0.707 0.428
B4 0.819 0.316 0.300
Mo1 0.653 0.735 0.246
Ru1 0.307 0.249 0.420
Ru2 0.511 0.014 0.846
```

Principal peaks in the range 10° ≤ 2θ ≤ 90°, low angle first:
2θ 22.64, I 93, hkl 1 0 0
2θ 27.66, I 42, hkl 1 0 -1
2θ 29.81, I 60, hkl 1 -1 1
2θ 36.29, I 63, hkl 0 1 -2
2θ 37.37, I 100, hkl 1 1 0
2θ 38.22, I 66, hkl -1 1 1
2θ 42.58, I 52, hkl 0 2 -1
2θ 43.23, I 43, hkl 1 -2 1
2θ 43.33, I 46, hkl 1 1 -2
2θ 48.70, I 39, hkl 2 -1 1



No. 7
Theoretical powder diffraction line list of Mo2WSe6 for a wavelength of 1.5418 Å, from a DFT-relaxed cell (PBE, the Materials Project).
Kinematic intensities with the Lorentz-polarization factor, no thermal factor.

Cell and atoms:
```
data_Mo2WSe6
_chemical_formula_sum 'Mo2 W1 Se6'
_symmetry_space_group_name_H-M 'P -6 m 2'
_symmetry_Int_Tables_number 187
_symmetry_space_group_name_Hall 'P -6 2'
_cell_length_a 3.3233
_cell_length_b 3.3233
_cell_length_c 30.7164
_cell_angle_alpha 90.00
_cell_angle_beta 90.00
_cell_angle_gamma 120.00
loop_
_atom_site_label
_atom_site_fract_x
_atom_site_fract_y
_atom_site_fract_z
Mo1 0.0000 0.0000 0.2313
W1 0.3333 0.6667 0.0000
Se1 0.0000 0.0000 0.0548
Se2 0.3333 0.6667 0.1768
Se3 0.3333 0.6667 0.2859
```

Principal peaks in the range 10° ≤ 2θ ≤ 90°, low angle first:
2θ 11.52, I 100, hkl 0 0 4
2θ 14.42, I 18, hkl 0 0 5
2θ 31.07, I 29, hkl 1 0 0
2θ 33.24, I 12, hkl 1 0 4
2θ 35.79, I 41, hkl 1 0 6
2θ 37.37, I 51, hkl 1 0 7
2θ 43.07, I 25, hkl 1 0 10
2θ 45.25, I 43, hkl 1 0 11
2θ 55.31, I 29, hkl 1 1 0
2θ 78.15, I 12, hkl 1 1 17